# 1
Starting from DFT lattice parameters and positions (GGA-PBE), the powder diffraction line list of CaNd3Ir8 was simulated for Cu Kα, 1.54184 Å.

The 8 most intense peaks (2θ from 5° to 70°), by angle:
- 2θ = 20.05°, intensity 26.3
- 2θ = 33.02°, intensity 14.8
- 2θ = 38.94°, intensity 100.0
- 2θ = 40.74°, intensity 56.5
- 2θ = 47.40°, intensity 13.1
- 2θ = 51.95°, intensity 6.9
- 2θ = 62.95°, intensity 32.8
- 2θ = 69.28°, intensity 30.6

Structure:
a = 5.4239 Å, b = 5.4239 Å, c = 26.5843 Å
α = 90.00°, β = 90.00°, γ = 120.00°
Space group R3m (No. 160, hexagonal axes)
Inequivalent atoms, fractional coordinates:
Ca1 0.0000 0.0000 0.0000 (multiplicity 3)
Nd1 0.0000 0.0000 0.3726 (multiplicity 3)
Nd2 0.0000 0.0000 0.4989 (multiplicity 3)
Nd3 0.0000 0.0000 0.8765 (multiplicity 3)
Ir1 0.0000 0.0000 0.1870 (multiplicity 3)
Ir2 0.0000 0.0000 0.6868 (multiplicity 3)
Ir3 0.0001 0.5000 0.4368 (multiplicity 9)
Ir4 0.1670 0.3340 0.2704 (multiplicity 9)


# 2
Starting from DFT lattice parameters and positions (GGA-PBE), the powder diffraction line list of CaNd3Ir was simulated for Cu Kα, 1.54184 Å.

The 8 most intense peaks (2θ from 5° to 70°), by angle:
- 2θ = 11.27°, intensity 98.8
- 2θ = 28.26°, intensity 35.1
- 2θ = 29.00°, intensity 39.9
- 2θ = 29.59°, intensity 50.4
- 2θ = 32.69°, intensity 56.8
- 2θ = 34.03°, intensity 100.0
- 2θ = 36.31°, intensity 37.7
- 2θ = 39.57°, intensity 42.8

Structure:
a = 8.1625 Å, b = 7.6506 Å, c = 10.5381 Å
α = 90.00°, β = 105.91°, γ = 90.00°
Space group P2_1/c (No. 14)
Inequivalent atoms, fractional coordinates:
Ca1 0.1999 0.0452 0.2512 (multiplicity 4)
Nd1 0.0794 0.7038 0.0275 (multiplicity 4)
Nd2 0.2908 0.5059 0.3775 (multiplicity 4)
Nd3 0.4108 0.1271 0.6051 (multiplicity 4)
Ir1 0.4405 0.7390 0.6054 (multiplicity 4)


# 3
Starting from DFT lattice parameters and positions (GGA-PBE), the powder diffraction line list of Ca2NdIr9 was simulated for Cu Kα, 1.54184 Å.

The 8 most intense peaks (2θ from 5° to 70°), by angle:
- 2θ = 10.13°, intensity 22.1
- 2θ = 19.42°, intensity 49.6
- 2θ = 38.96°, intensity 21.8
- 2θ = 39.45°, intensity 100.0
- 2θ = 41.34°, intensity 36.8
- 2θ = 42.62°, intensity 48.8
- 2θ = 46.02°, intensity 33.9
- 2θ = 63.84°, intensity 27.2

Structure:
a = 5.3601 Å, b = 5.3601 Å, c = 26.1982 Å
α = 90.00°, β = 90.00°, γ = 120.00°
Space group R-3m (No. 166, hexagonal axes)
Inequivalent atoms, fractional coordinates:
Ca1 0.0000 0.0000 0.1414 (multiplicity 6)
Nd1 0.0000 0.0000 0.0000 (multiplicity 3)
Ir1 0.0000 0.0000 0.3328 (multiplicity 6)
Ir2 0.0000 0.0000 0.5000 (multiplicity 3)
Ir3 0.0019 0.5009 0.0817 (multiplicity 18)


# 4
Starting from DFT lattice parameters and positions (GGA-PBE), the powder diffraction line list of Ca2NdIr was simulated for Cu Kα, 1.54184 Å.

The 8 most intense peaks (2θ from 5° to 70°), by angle:
- 2θ = 13.94°, intensity 29.8
- 2θ = 16.81°, intensity 38.3
- 2θ = 18.77°, intensity 63.8
- 2θ = 29.92°, intensity 20.7
- 2θ = 31.69°, intensity 28.0
- 2θ = 32.04°, intensity 100.0
- 2θ = 36.84°, intensity 21.2
- 2θ = 42.15°, intensity 38.8

Structure:
a = 4.0429 Å, b = 12.7040 Å, c = 9.4576 Å
α = 90.00°, β = 90.00°, γ = 90.00°
Space group Cmcm (No. 63)
Inequivalent atoms, fractional coordinates:
Ca1 0.0000 0.1517 0.0671 (multiplicity 8)
Nd1 0.0000 0.4203 0.2500 (multiplicity 4)
Ir1 0.0000 0.2309 0.7500 (multiplicity 4)


# 5
Starting from DFT lattice parameters and positions (GGA-PBE), the powder diffraction line list of CaNdIrPt was simulated for Cu Kα, 1.54184 Å.

The 8 most intense peaks (2θ from 5° to 70°), by angle:
- 2θ = 21.87°, intensity 7.6
- 2θ = 25.31°, intensity 14.1
- 2θ = 36.09°, intensity 100.0
- 2θ = 42.60°, intensity 4.2
- 2θ = 44.59°, intensity 4.4
- 2θ = 51.97°, intensity 17.7
- 2θ = 58.66°, intensity 6.2
- 2θ = 64.90°, intensity 36.3

Structure:
a = 7.0387 Å, b = 7.0387 Å, c = 7.0387 Å
α = 90.00°, β = 90.00°, γ = 90.00°
Space group F-43m (No. 216)
Inequivalent atoms, fractional coordinates:
Ca1 0.0000 0.0000 0.0000 (multiplicity 4)
Nd1 0.0000 0.0000 0.5000 (multiplicity 4)
Ir1 0.2500 0.2500 0.7500 (multiplicity 4)
Pt1 0.2500 0.2500 0.2500 (multiplicity 4)